Computed powder XRD pattern
Compound: RbLaAgHg
Radiation: CuKα
Structure: a cell relaxed with PBE

Peak list (10 most intense, 2θ from 10° to 80°, most intense first)
Position (°2θ), I/Imax, hkl
28.67, 100.0, 0 0 2
29.05, 81.9, 1 1 -1
34.96, 80.0, 1 1 1
33.08, 68.3, 0 2 0
35.96, 65.3, 1 1 -2
33.21, 60.6, 0 1 2
14.24, 30.8, 0 0 1
57.70, 26.9, 2 2 -1
45.86, 26.8, 2 0 -1
44.35, 24.9, 0 2 2

Structure:
```
RbLaAgHg
1.0
3.960 0.000 0.000
0.000 5.417 0.000
-1.763 0.000 6.222
Rb La Ag Hg
1 1 1 1
Direct
0.000 0.000 0.000 Rb
0.747 0.500 0.442 La
0.295 0.000 0.536 Ag
0.434 0.500 0.859 Hg
```